Record 1
Diffraction record for Sm3AgS4. The powder diffraction line list is calculated, not measured: it uses the PBE geometry in Alexandria and Cu Ka.

Main lines, low angle first (2θ from 10° to 80°):
two_theta  d (Å)  I (rel.)
27.2  3.279  55
27.3  3.261  54
31.4  2.846  51
31.7  2.825  100
45.2  2.005  91
45.6  1.990  18
53.5  1.714  18
53.6  1.708  18
56.1  1.639  19
56.4  1.631  19

Atomic structure:
Lattice parameters (Å, degrees): 6.946 6.946 4.011 90.00 90.00 110.09
Atoms (fractional coordinates):
Sm: 0.000 0.000 0.000
Sm: 0.000 0.500 0.500
Sm: 0.500 0.000 0.500
Ag: 0.500 0.500 0.000
S: 0.249 0.751 0.000
S: 0.252 0.252 0.500
S: 0.748 0.748 0.500
S: 0.751 0.249 0.000

***

Record 2
Diffraction record for Sr4Sm3AgS8. The powder diffraction line list is calculated, not measured: it uses the PBE geometry in Alexandria and Cu Ka.

Main lines, low angle first (2θ from 10° to 80°):
two_theta  d (Å)  I (rel.)
26.3  3.394  15
26.5  3.370  42
30.6  2.923  100
43.7  2.073  36
43.9  2.062  36
51.9  1.762  14
54.5  1.685  19
63.7  1.462  11
72.1  1.310  16
72.4  1.305  16

Atomic structure:
Lattice parameters (Å, degrees): 8.291 8.291 8.291 59.65 59.65 59.65
Atoms (fractional coordinates):
Sr: 0.000 0.000 0.000
Sr: 0.000 0.500 0.500
Sr: 0.500 0.000 0.500
Sr: 0.500 0.500 0.000
Sm: 0.000 0.000 0.500
Sm: 0.000 0.500 0.000
Sm: 0.500 0.000 0.000
Ag: 0.500 0.500 0.500
S: 0.240 0.748 0.748
S: 0.245 0.245 0.245
S: 0.252 0.252 0.760
S: 0.252 0.760 0.252
S: 0.748 0.240 0.748
S: 0.748 0.748 0.240
S: 0.755 0.755 0.755
S: 0.760 0.252 0.252

***

Record 3
Diffraction record for SmAg2TeS4. The powder diffraction line list is calculated, not measured: it uses the PBE geometry in Alexandria and Cu Ka.

Main lines, low angle first (2θ from 10° to 80°):
two_theta  d (Å)  I (rel.)
26.4  3.374  100
27.7  3.216  79
29.7  3.010  93
30.2  2.956  89
34.0  2.633  68
41.1  2.197  31
44.6  2.031  32
45.8  1.982  54
46.2  1.966  52
57.3  1.608  29

Atomic structure:
Lattice parameters (Å, degrees): 7.931 7.931 8.124 120.14 120.14 83.21
Atoms (fractional coordinates):
Sm: 0.000 0.000 0.000
Sm: 0.000 0.000 0.500
Ag: 0.000 0.500 0.000
Ag: 0.500 0.000 0.500
Ag: 0.500 0.500 0.000
Ag: 0.500 0.500 0.500
Te: 0.000 0.500 0.500
Te: 0.500 0.000 0.000
S: 0.205 0.673 0.941
S: 0.219 0.223 0.966
S: 0.223 0.219 0.466
S: 0.327 0.795 0.559
S: 0.673 0.205 0.441
S: 0.777 0.781 0.534
S: 0.781 0.777 0.034
S: 0.795 0.327 0.059

***

Record 4
Diffraction record for SmAgTeS. The powder diffraction line list is calculated, not measured: it uses the PBE geometry in Alexandria and Cu Ka.

Main lines, low angle first (2θ from 10° to 80°):
two_theta  d (Å)  I (rel.)
26.7  3.340  100
29.1  3.072  21
33.2  2.698  91
39.4  2.288  60
41.9  2.155  29
46.6  1.950  27
48.2  1.887  40
56.9  1.618  20
58.9  1.569  21
67.5  1.387  22

Atomic structure:
Lattice parameters (Å, degrees): 4.576 4.576 9.772 90.00 90.00 90.00
Atoms (fractional coordinates):
Sm: 0.250 0.250 0.155
Sm: 0.750 0.750 0.845
Ag: 0.250 0.750 0.500
Ag: 0.750 0.250 0.500
Te: 0.250 0.250 0.687
Te: 0.750 0.750 0.313
S: 0.250 0.750 0.000
S: 0.750 0.250 0.000

***

Record 5
Diffraction record for AgSn2S3. The powder diffraction line list is calculated, not measured: it uses the PBE geometry in Alexandria and Cu Ka.

Main lines, low angle first (2θ from 10° to 80°):
two_theta  d (Å)  I (rel.)
27.5  3.249  44
27.6  3.236  44
31.7  2.824  100
32.3  2.775  48
45.3  2.003  18
45.6  1.991  18
45.8  1.980  70
56.7  1.624  18
56.9  1.618  18
75.5  1.259  16

Atomic structure:
Lattice parameters (Å, degrees): 6.885 6.885 6.885 132.45 59.62 146.17
Atoms (fractional coordinates):
Ag: 0.000 0.000 0.000
Sn: 0.335 0.001 0.334
Sn: 0.667 0.001 0.666
S: 0.002 0.502 0.500
S: 0.333 0.502 0.832
S: 0.670 0.502 0.168

***

Record 6
Diffraction record for Ag2Sn2S5. The powder diffraction line list is calculated, not measured: it uses the PBE geometry in Alexandria and Cu Ka.

Main lines, low angle first (2θ from 10° to 80°):
two_theta  d (Å)  I (rel.)
25.1  3.552  37
26.7  3.341  22
27.4  3.257  100
36.9  2.433  34
41.2  2.192  11
45.6  1.989  29
47.5  1.912  32
48.8  1.865  16
49.7  1.833  14
60.9  1.521  10

Atomic structure:
Lattice parameters (Å, degrees): 10.032 10.032 10.032 58.16 141.10 138.53
Atoms (fractional coordinates):
Ag: 0.012 0.113 0.125
Ag: 0.012 0.387 0.400
Ag: 0.988 0.613 0.600
Ag: 0.988 0.887 0.875
Sn: 0.473 0.473 0.000
Sn: 0.473 0.973 0.500
Sn: 0.493 0.284 0.709
Sn: 0.575 0.784 0.291
S: 0.007 0.138 0.369
S: 0.275 0.561 0.991
S: 0.275 0.784 0.213
S: 0.481 0.273 0.309
S: 0.481 0.671 0.708
S: 0.570 0.061 0.787
S: 0.570 0.284 0.009
S: 0.769 0.638 0.631
S: 0.964 0.171 0.691
S: 0.964 0.773 0.292